No. 1
Starting from DFT lattice parameters and positions (GGA-PBE), the PXRD pattern of K2CO3 was computed for CuKα.
Kinematic intensities with the Lorentz-polarization factor, no thermal factor.

Top 10 peaks for 5° ≤ 2θ ≤ 70°, sorted by position:
2theta  d/Å  I (rel.)
24.90  3.576  24
30.72  2.910  100
30.92  2.892  68
38.07  2.364  38
44.14  2.052  49
51.09  1.788  13
53.03  1.727  12
54.87  1.673  10
60.92  1.521  15
64.43  1.446  11

Atomic structure:
Cell: 5.785 5.785 7.151 Å, 90.00 90.00 120.00°
Fractional positions:
1 K 0.000 0.000 0.000
2 K 0.000 0.000 0.500
3 K 0.333 0.667 0.250
4 K 0.667 0.333 0.750
5 C 0.333 0.667 0.750
6 C 0.667 0.333 0.250
7 O 0.203 0.406 0.750
8 O 0.203 0.797 0.750
9 O 0.406 0.203 0.250
10 O 0.594 0.797 0.750
11 O 0.797 0.203 0.250
12 O 0.797 0.594 0.250

***

No. 2
Starting from DFT lattice parameters and positions (GGA-PBE), the PXRD pattern of Zr2N2O was computed for CuKα.
Kinematic intensities with the Lorentz-polarization factor, no thermal factor.

Top 10 peaks for 5° ≤ 2θ ≤ 70°, sorted by position:
2theta  d/Å  I (rel.)
26.48  3.366  37
32.10  2.788  54
32.97  2.717  100
33.12  2.705  44
33.53  2.673  39
34.17  2.624  24
40.60  2.222  35
41.64  2.169  34
52.99  1.728  26
55.21  1.664  35

Atomic structure:
Cell: 4.347 3.495 8.789 Å, 90.00 100.72 90.00°
Fractional positions:
1 Zr 0.119 0.250 0.172
2 Zr 0.291 0.250 0.607
3 Zr 0.709 0.750 0.393
4 Zr 0.881 0.750 0.828
5 N 0.215 0.750 0.403
6 N 0.332 0.750 0.749
7 N 0.668 0.250 0.251
8 N 0.785 0.250 0.597
9 O 0.185 0.750 0.063
10 O 0.815 0.250 0.937

***

No. 3
Starting from DFT lattice parameters and positions (GGA-PBE), the PXRD pattern of Ho3Te3N was computed for CuKα.
Kinematic intensities with the Lorentz-polarization factor, no thermal factor.

Top 10 peaks for 5° ≤ 2θ ≤ 70°, sorted by position:
2theta  d/Å  I (rel.)
25.20  3.534  39
27.27  3.270  59
28.98  3.081  100
29.75  3.003  76
29.91  2.988  36
31.70  2.823  48
31.92  2.803  96
34.88  2.573  75
35.98  2.496  55
37.57  2.394  41

Atomic structure:
Cell: 8.093 11.951 8.656 Å, 90.00 108.95 90.00°
Fractional positions:
1 Ho 0.102 0.023 0.363
2 Ho 0.102 0.477 0.863
3 Ho 0.266 0.710 0.154
4 Ho 0.266 0.790 0.654
5 Ho 0.339 0.088 0.795
6 Ho 0.339 0.412 0.295
7 Ho 0.661 0.588 0.705
8 Ho 0.661 0.912 0.205
9 Ho 0.734 0.210 0.346
10 Ho 0.734 0.290 0.846
11 Ho 0.898 0.523 0.137
12 Ho 0.898 0.977 0.637
13 Te 0.009 0.234 0.687
14 Te 0.009 0.266 0.187
15 Te 0.276 0.520 0.586
16 Te 0.276 0.980 0.086
17 Te 0.455 0.191 0.517
18 Te 0.455 0.309 0.017
19 Te 0.545 0.691 0.983
20 Te 0.545 0.809 0.483
21 Te 0.724 0.020 0.914
22 Te 0.724 0.480 0.414
23 Te 0.991 0.734 0.813
24 Te 0.991 0.766 0.313
25 N 0.173 0.535 0.124
26 N 0.173 0.965 0.624
27 N 0.827 0.035 0.376
28 N 0.827 0.465 0.876